Starting from DFT lattice parameters and positions (GGA+U), the powder XRD pattern of KMnAsO4 was calculated for Cu Ka.
Neutral-atom scattering factors, no anomalous dispersion.

Principal peaks in the range 2θ = 10–80°, sorted by position:
2θ (°)  d (Å)  I/Imax
12.82  6.907  100
19.88  4.467  55
23.85  3.731  44
30.04  2.975  36
30.43  2.938  27
30.53  2.928  54
35.64  2.519  29
38.17  2.358  31
39.11  2.303  45
45.93  1.976  24

Structural model:
```
KMnAsO4
1.0
5.6058 0.0000 0.0000
0.0000 5.8568 0.0000
-2.1409 0.0000 6.9071
K Mn As O
2 2 2 8
direct
0.2052 0.2500 0.4400
0.7948 0.7500 0.5600
0.3094 0.2500 0.9696
0.6906 0.7500 0.0304
0.2373 0.7500 0.1552
0.7627 0.2500 0.8448
0.0249 0.7500 0.9298
0.0606 0.7500 0.3122
0.4496 0.5249 0.1829
0.4496 0.9751 0.1829
0.5504 0.0249 0.8171
0.5504 0.4751 0.8171
0.9394 0.2500 0.6878
0.9751 0.2500 0.0702
```

=====

Starting from DFT lattice parameters and positions (GGA+U), the powder XRD pattern of Ho2Mn3Sb3O14 was calculated for Cu Ka.
Neutral-atom scattering factors, no anomalous dispersion.

Principal peaks in the range 2θ = 10–80°, sorted by position:
2θ (°)  d (Å)  I/Imax
15.04  5.892  16
29.90  2.989  100
30.03  2.976  50
30.34  2.946  49
34.83  2.576  59
49.71  1.834  17
49.87  1.829  32
50.28  1.815  31
59.34  1.557  21
59.92  1.544  20

Structural model:
```
Ho2Mn3Sb3O14
1.0
6.2648 -3.6682 0.0000
6.2648 3.6682 0.0000
-4.1135 0.0000 5.9518
Ho Mn Sb O
2 3 3 14
direct
0.0000 0.0000 0.0000
0.0000 0.0000 0.5000
0.0000 0.5000 0.5000
0.5000 0.0000 0.5000
0.5000 0.5000 0.0000
0.0000 0.5000 0.0000
0.5000 0.0000 0.0000
0.5000 0.5000 0.5000
0.1286 0.1286 0.3804
0.1569 0.5943 0.9244
0.1687 0.1687 0.9060
0.1708 0.5857 0.3321
0.4057 0.8431 0.0756
0.4143 0.8292 0.6679
0.4245 0.4245 0.6779
0.5755 0.5755 0.3221
0.5857 0.1708 0.3321
0.5943 0.1569 0.9244
0.8292 0.4143 0.6679
0.8313 0.8313 0.0940
0.8431 0.4057 0.0756
0.8714 0.8714 0.6196
```